Diffraction record for CaN2F. The powder diffractogram is theoretical, not measured: it uses a DFT-relaxed cell (GGA-PBE, Alexandria) and Cu Kα X-rays.

Most intense lines, 2θ = 15–90°, sorted by position:
2theta  d (Å)  I (rel.)  index
28.31  3.152  69  1 0 1
31.27  2.861  86  0 1 2
41.23  2.190  96  1 0 4
47.53  1.913  32  0 1 5
48.18  1.889  100  1 1 0
68.96  1.362  42  1 1 6

Structural model:
Lattice parameters (Å, degrees): 3.7777 3.7777 11.7892 90.00 90.00 120.00
Space group R-3m (No. 166, hexagonal axes)
Inequivalent atoms, fractional coordinates:
1 Ca 0.0000 0.0000 0.0000 x3
2 N 0.0000 0.0000 0.1933 x6
3 F 0.0000 0.0000 0.5000 x3